Computed PXRD pattern
Compound: SmHo3Te3
Radiation: Cu Kα X-rays
Structure: the PBE geometry in Alexandria
Intensities are scaled so that the largest is 100.

Principal peaks in the range 5° ≤ 2θ ≤ 70°, low angle first:
- 4.524 Å, I 13
- 3.579 Å, I 15
- 3.204 Å, I 14
- 2.924 Å, I 61
- 2.806 Å, I 100
- 2.612 Å, I 35
- 2.455 Å, I 92
- 2.110 Å, I 21
- 1.948 Å, I 13
- 1.789 Å, I 15
- 1.762 Å, I 31
- 1.460 Å, I 17

Atomic structure:
Cell lengths 7.844, 7.844, 7.844 Å; angles 70.45, 70.45, 70.45 degrees
Positions (direct):
Sm 0.193 0.193 0.193
Sm 0.807 0.807 0.807
Ho 0.170 0.423 0.648
Ho 0.352 0.830 0.577
Ho 0.423 0.648 0.170
Ho 0.577 0.352 0.830
Ho 0.648 0.170 0.423
Ho 0.830 0.577 0.352
Te 0.044 0.819 0.394
Te 0.181 0.606 0.956
Te 0.394 0.044 0.819
Te 0.606 0.956 0.181
Te 0.819 0.394 0.044
Te 0.956 0.181 0.606



Computed PXRD pattern
Compound: SmHoTe3
Radiation: Cu Kα X-rays
Structure: the PBE geometry in Alexandria
Intensities are scaled so that the largest is 100.

Principal peaks in the range 5° ≤ 2θ ≤ 70°, low angle first:
- 3.764 Å, I 31
- 3.524 Å, I 32
- 3.200 Å, I 37
- 2.991 Å, I 30
- 2.882 Å, I 25
- 2.833 Å, I 100
- 2.716 Å, I 55
- 2.661 Å, I 27
- 2.579 Å, I 52
- 2.181 Å, I 46
- 2.157 Å, I 30
- 1.491 Å, I 22

Atomic structure:
Cell lengths 8.255, 4.361, 17.349 Å; angles 90.00, 90.00, 90.00 degrees
Positions (direct):
Sm 0.134 0.250 0.201
Sm 0.366 0.750 0.701
Sm 0.634 0.250 0.299
Sm 0.866 0.750 0.799
Ho 0.228 0.750 0.459
Ho 0.272 0.250 0.959
Ho 0.728 0.750 0.041
Ho 0.772 0.250 0.541
Te 0.004 0.250 0.393
Te 0.117 0.750 0.064
Te 0.157 0.250 0.785
Te 0.343 0.750 0.285
Te 0.383 0.250 0.564
Te 0.496 0.750 0.893
Te 0.504 0.250 0.107
Te 0.617 0.750 0.436
Te 0.657 0.250 0.715
Te 0.843 0.750 0.215
Te 0.883 0.250 0.936
Te 0.996 0.750 0.607



Copy entry 1 word for word.
Computed PXRD pattern
Compound: SmHo3Te3
Radiation: Cu Kα X-rays
Structure: the PBE geometry in Alexandria
Intensities are scaled so that the largest is 100.

Principal peaks in the range 5° ≤ 2θ ≤ 70°, low angle first:
- 4.524 Å, I 13
- 3.579 Å, I 15
- 3.204 Å, I 14
- 2.924 Å, I 61
- 2.806 Å, I 100
- 2.612 Å, I 35
- 2.455 Å, I 92
- 2.110 Å, I 21
- 1.948 Å, I 13
- 1.789 Å, I 15
- 1.762 Å, I 31
- 1.460 Å, I 17

Atomic structure:
Cell lengths 7.844, 7.844, 7.844 Å; angles 70.45, 70.45, 70.45 degrees
Positions (direct):
Sm 0.193 0.193 0.193
Sm 0.807 0.807 0.807
Ho 0.170 0.423 0.648
Ho 0.352 0.830 0.577
Ho 0.423 0.648 0.170
Ho 0.577 0.352 0.830
Ho 0.648 0.170 0.423
Ho 0.830 0.577 0.352
Te 0.044 0.819 0.394
Te 0.181 0.606 0.956
Te 0.394 0.044 0.819
Te 0.606 0.956 0.181
Te 0.819 0.394 0.044
Te 0.956 0.181 0.606



Q: Number 1 is which compound?
A: SmHo3Te3



Q: Which formula does entry 2 have?
A: SmHoTe3